This entry pairs a crystal structure of LiMg2Pd with its calculated XRD peak list. Radiation: Cu Ka. Structure: DFT lattice parameters and positions (PBE).
Intensities are scaled so that the largest is 100.

Most intense lines, 2θ from 5° to 70°, by angle:
(hkl), d_spacing, I (rel.)
1 1 1, 3.746, 99
2 0 0, 3.244, 18
2 2 0, 2.294, 100
3 1 1, 1.956, 48
4 0 0, 1.622, 17
3 3 1, 1.489, 20

Atomic structure:
```
LiMg2Pd
1.0
6.4883 0.0000 0.0000
0.0000 6.4883 0.0000
0.0000 0.0000 6.4883
Li Mg Pd
4 8 4
Cartesian
0.0000 0.0000 0.0000 Li
0.0000 3.2441 3.2441 Li
3.2441 0.0000 3.2441 Li
3.2441 3.2441 0.0000 Li
1.6221 1.6221 1.6221 Mg
1.6221 1.6221 4.8662 Mg
1.6221 4.8662 1.6221 Mg
1.6221 4.8662 4.8662 Mg
4.8662 1.6221 1.6221 Mg
4.8662 1.6221 4.8662 Mg
4.8662 4.8662 1.6221 Mg
4.8662 4.8662 4.8662 Mg
0.0000 0.0000 3.2441 Pd
0.0000 3.2441 0.0000 Pd
3.2441 0.0000 0.0000 Pd
3.2441 3.2441 3.2441 Pd
```